Starting from a DFT-relaxed cell (PBE, Alexandria), the powder diffractogram of Cs2BaLaI6 was computed for Cu Ka.
Neutral-atom scattering factors, no anomalous dispersion.

Cell and atoms:
Lattice parameters (Å, degrees): 9.0134 13.1674 9.6799 90.00 90.00 90.00
Space group Pmmn (No. 59, origin choice 2)
Asymmetric unit:
Cs  0.2500  0.0443  0.1932 x4
Ba  0.2500  0.2500  0.7182 x2
La  0.2500  0.7500  0.7787 x2
I  0.0058  0.7500  0.0201 x4
I  0.0096  0.2500  0.4461 x4
I  0.2500  0.5062  0.7776 x4

The 10 most intense peaks (2θ from 10° to 80°), most intense first:
h k l  2theta  I/Imax
0 4 0  27.05  100
2 4 2  38.64  41
2 2 0  23.93  36
0 2 0  13.43  31
0 2 2  22.80  29
1 4 1  30.33  18
4 4 0  48.99  15
4 0 0  40.01  15
0 4 4  46.56  14
2 1 2  27.89  13